# Nd3Ga4Ge
Calculated XRD peak list, Cu Kα X-rays. Input: a crystal structure in Alexandria, relaxed with GGA-PBE.
Lines closer than 0.1° are merged.

Largest 10 diffraction maxima, by angle, 2θ from 10° to 90°:
d 3.578, 2θ 24.88, I 40; d 3.286, 2θ 27.14, I 100; d 2.770, 2θ 32.32, I 66; d 2.417, 2θ 37.21, I 47; d 2.339, 2θ 38.48, I 41; d 2.299, 2θ 39.18, I 42; d 2.176, 2θ 41.49, I 31; d 2.080, 2θ 43.50, I 23; d 2.018, 2θ 44.92, I 30; d 1.789, 2θ 51.05, I 20

Unit cell a=7.5178 b=7.5178 c=7.5178 alpha=144.38 beta=122.50 gamma=69.51
Sites, in units of the cell vectors:
Nd  0.0000  0.0000  0.0000
Nd  0.3255  0.8255  0.5000
Nd  0.6745  0.1745  0.5000
Ga  0.0879  0.3841  0.7038
Ga  0.3198  0.6159  0.7038
Ga  0.6802  0.3841  0.2962
Ga  0.9121  0.6159  0.2962
Ge  0.5000  0.5000  0.0000